Computed powder XRD pattern
Compound: BaTmFeCuO5
Radiation: CuKα
Structure: a crystal structure in the Materials Project, relaxed with PBE+U
No peak broadening, texture or thermal motion is included.

```
BaTmFeCuO5
1.0
3.8755 0.0000 0.0000
0.0000 3.8755 0.0000
0.0000 0.0000 7.9367
Ba Tm Fe Cu O
1 1 1 1 5
Direct
0.0000 0.0000 0.0000
0.0000 0.0000 0.4631
0.5000 0.5000 0.7014
0.5000 0.5000 0.2544
0.0000 0.5000 0.2781
0.0000 0.5000 0.6284
0.5000 0.0000 0.2781
0.5000 0.0000 0.6284
0.5000 0.5000 0.9373
```

Largest 10 diffraction maxima, by intensity, 2θ from 10° to 80°:
2theta  d [Å]  I/Imax
32.29  2.773  100.0
32.68  2.740  43.3
58.08  1.588  38.6
46.89  1.938  27.8
57.33  1.607  18.1
39.98  2.255  17.1
22.95  3.875  16.9
11.15  7.937  13.2
77.75  1.228  10.6
67.57  1.386  9.5

Computed powder XRD pattern
Compound: CaTiMoP3O12
Radiation: CuKα
Structure: a crystal structure in the Materials Project, relaxed with PBE+U
No peak broadening, texture or thermal motion is included.

```
CaTiMoP3O12
1.0
4.3920 2.5357 7.4088
-4.3920 2.5357 7.4088
0.0000 -5.0715 7.4088
Ca Ti Mo P O
2 2 2 6 24
Direct
0.0000 0.0000 0.0000
0.5000 0.5000 0.5000
0.3508 0.3508 0.3508
0.8508 0.8508 0.8508
0.1442 0.1442 0.1442
0.6442 0.6442 0.6442
0.0452 0.4607 0.7413
0.2413 0.9607 0.5452
0.4607 0.7413 0.0452
0.5452 0.2413 0.9607
0.7413 0.0452 0.4607
0.9607 0.5452 0.2413
0.9996 0.6273 0.7922
0.0694 0.2739 0.9037
0.0728 0.9477 0.7311
0.1273 0.4996 0.2922
0.1949 0.9881 0.3919
0.2311 0.4477 0.5728
0.2739 0.9037 0.0694
0.2922 0.1273 0.4996
0.3919 0.1949 0.9881
0.4037 0.7739 0.5694
0.4477 0.5728 0.2311
0.4881 0.6949 0.8919
0.4996 0.2922 0.1273
0.5694 0.4037 0.7739
0.5728 0.2311 0.4477
0.6273 0.7922 0.9996
0.6949 0.8919 0.4881
0.7311 0.0728 0.9477
0.7739 0.5694 0.4037
0.7922 0.9996 0.6273
0.8919 0.4881 0.6949
0.9037 0.0694 0.2739
0.9477 0.7311 0.0728
0.9881 0.3919 0.1949
```

Largest 10 diffraction maxima, by intensity, 2θ from 10° to 80°:
2theta  d [Å]  I/Imax
23.55  3.778  100.0
20.22  4.392  91.8
31.60  2.832  89.4
35.40  2.536  39.8
19.79  4.487  35.3
48.17  1.889  31.5
45.39  1.998  27.0
28.44  3.139  26.4
55.34  1.660  26.0
61.18  1.515  20.4

Computed powder XRD pattern
Compound: KLiMnP3HO10
Radiation: CuKα
Structure: a crystal structure in the Materials Project, relaxed with PBE+U
No peak broadening, texture or thermal motion is included.

```
KLiMnP3HO10
1.0
7.3676 0.0000 0.0000
2.2109 7.1071 0.0000
2.8259 2.4631 8.8048
K Li Mn P H O
2 2 2 6 2 20
Direct
0.0000 0.0000 0.0000
0.1602 0.8880 0.5964
0.5724 0.5737 0.3176
0.9288 0.2177 0.2903
0.0775 0.4866 0.3113
0.5800 0.9422 0.8102
0.3258 0.3346 0.5951
0.3862 0.1509 0.1132
0.4137 0.5704 0.0048
0.7387 0.3316 0.6064
0.7418 0.7553 0.4978
0.8225 0.5541 0.0285
0.1002 0.4428 0.7880
0.5596 0.9679 0.2883
0.1910 0.4883 0.6843
0.2004 0.1873 0.2333
0.2296 0.6387 0.1125
0.2902 0.3903 0.4370
0.3320 0.1282 0.6927
0.3873 0.0244 0.0185
0.4225 0.3580 0.9934
0.4453 0.7045 0.8477
0.5418 0.3890 0.5438
0.5634 0.7916 0.4295
0.5704 0.0791 0.1876
0.5888 0.5337 0.0858
0.7245 0.1808 0.7562
0.7322 0.8869 0.5921
0.7511 0.5330 0.6214
0.8194 0.7652 0.9362
0.8480 0.5036 0.1941
0.9034 0.2749 0.4779
0.9314 0.7438 0.3764
0.9464 0.3995 0.9479
```

Largest 10 diffraction maxima, by intensity, 2θ from 10° to 80°:
2theta  d [Å]  I/Imax
28.23  3.161  100.0
29.29  3.049  85.1
30.46  2.935  73.2
14.53  6.097  71.8
16.14  5.490  49.4
32.60  2.747  47.1
27.09  3.292  46.5
14.09  6.286  45.8
20.17  4.402  43.2
20.34  4.366  42.0

Computed powder XRD pattern
Compound: Ca4MnFe3Si10O30
Radiation: CuKα
Structure: a crystal structure in the Materials Project, relaxed with PBE+U
No peak broadening, texture or thermal motion is included.

```
Ca4MnFe3Si10O30
1.0
6.7048 0.0000 0.0000
-0.4772 7.5011 0.0000
-0.6105 -2.8294 11.4986
Ca Mn Fe Si O
4 1 3 10 30
Direct
0.0000 0.0000 0.0000
0.1393 0.4411 0.5636
0.5443 0.9800 0.5268
0.6828 0.4239 0.0961
0.7735 0.6150 0.3983
0.0228 0.2552 0.2773
0.6527 0.1648 0.8148
0.9069 0.8044 0.6954
0.0501 0.0183 0.4925
0.1566 0.1927 0.7579
0.1849 0.4943 0.1001
0.2613 0.6751 0.3591
0.4175 0.7458 0.7327
0.4978 0.9249 0.9909
0.5252 0.2239 0.3314
0.6314 0.4042 0.6024
0.7237 0.8845 0.2099
0.9563 0.5340 0.8822
0.0134 0.3457 0.1291
0.0703 0.6095 0.0132
0.0752 0.5419 0.3913
0.0959 0.4087 0.7850
0.1767 0.1429 0.6134
0.1966 0.7582 0.6694
0.2179 0.8919 0.4230
0.2613 0.6508 0.2201
0.3075 0.2563 0.2840
0.3153 0.0211 0.0529
0.3683 0.3982 0.0389
0.3689 0.1591 0.8111
0.4209 0.7671 0.8713
0.4590 0.5282 0.6688
0.4804 0.6615 0.4242
0.5171 0.2829 0.4775
0.5816 0.0059 0.3078
0.6041 0.8779 0.7008
0.6120 0.8107 0.0779
0.6698 0.0719 0.9604
0.6884 0.2424 0.6638
0.7121 0.3415 0.2915
0.7630 0.4052 0.9016
0.7774 0.7017 0.2518
0.8141 0.5459 0.5795
0.8728 0.8846 0.5271
0.9063 0.7163 0.8369
0.9170 0.0143 0.1910
0.9675 0.0656 0.7904
0.9864 0.1781 0.4305
```

Largest 10 diffraction maxima, by intensity, 2θ from 10° to 80°:
2theta  d [Å]  I/Imax
32.08  2.790  100.0
30.58  2.923  97.9
30.07  2.972  61.0
29.36  3.042  60.3
28.54  3.128  57.8
29.89  2.989  44.4
13.26  6.676  31.4
36.36  2.471  31.1
12.74  6.949  29.7
21.86  4.066  28.2